No. 1
This entry pairs a crystal structure of SrPrZnN2 with its computed XRD peak list. Radiation: CuKα. Structure: a GGA-PBE-relaxed structure.
Peak positions follow from Bragg's law for the DFT cell and can differ from measured ones.

Principal peaks in the range 2θ = 10–90°, by angle:
- d = 5.569 Å, I 32
- d = 3.929 Å, I 41
- d = 2.942 Å, I 12
- d = 2.785 Å, I 25
- d = 2.772 Å, I 25
- d = 2.601 Å, I 100
- d = 2.166 Å, I 11
- d = 1.965 Å, I 25
- d = 1.570 Å, I 21
- d = 1.565 Å, I 21
- d = 1.472 Å, I 15
- d = 1.300 Å, I 12

Structure:
```
data_SrPrZnN2
_symmetry_space_group_name_H-M 'P c c m'
_symmetry_Int_Tables_number 49
_cell_length_a 5.5440
_cell_length_b 5.5693
_cell_length_c 6.9404
_cell_angle_alpha 90.00
_cell_angle_beta 90.00
_cell_angle_gamma 90.00
loop_
_symmetry_equiv_pos_as_xyz
'x,y,z'
'-x,-y,-z'
'-x,-y,z'
'x,y,-z'
'x,-y,-z+1/2'
'-x,y,z+1/2'
'-x,y,-z+1/2'
'x,-y,z+1/2'
loop_
_atom_site_label
_atom_site_fract_x
_atom_site_fract_y
_atom_site_fract_z
Sr1 0.0000 0.0000 0.2500
Pr1 0.5000 0.5000 0.2500
Zn1 0.0000 0.5000 0.0000
N1 0.2593 0.2844 0.0000
```


No. 2
This entry pairs a crystal structure of Tb3Pr2N4 with its computed XRD peak list. Radiation: CuKα. Structure: a GGA-PBE-relaxed structure.
Peak positions follow from Bragg's law for the DFT cell and can differ from measured ones.

Principal peaks in the range 2θ = 10–90°, by angle:
- d = 2.954 Å, I 33
- d = 2.922 Å, I 100
- d = 2.574 Å, I 30
- d = 2.519 Å, I 59
- d = 1.808 Å, I 20
- d = 1.793 Å, I 21
- d = 1.789 Å, I 10
- d = 1.774 Å, I 10
- d = 1.545 Å, I 9
- d = 1.521 Å, I 19
- d = 1.517 Å, I 10
- d = 1.461 Å, I 15

Structure:
```
data_Tb3Pr2N4
_symmetry_space_group_name_H-M 'C 1 2/m 1'
_symmetry_Int_Tables_number 12
_cell_length_a 11.8490
_cell_length_b 3.5486
_cell_length_c 8.8633
_cell_angle_alpha 90.00
_cell_angle_beta 118.74
_cell_angle_gamma 90.00
loop_
_symmetry_equiv_pos_as_xyz
'x,y,z'
'-x,-y,-z'
'-x,y,-z'
'x,-y,z'
'x+1/2,y+1/2,z'
'-x+1/2,-y+1/2,-z'
'-x+1/2,y+1/2,-z'
'x+1/2,-y+1/2,z'
loop_
_atom_site_label
_atom_site_fract_x
_atom_site_fract_y
_atom_site_fract_z
Tb1 0.0000 0.0000 0.0000
Tb2 0.2100 0.0000 0.8187
Pr1 0.1035 0.5000 0.3855
N1 0.1066 0.5000 0.9098
N2 0.1970 0.0000 0.2902
```


No. 3
This entry pairs a crystal structure of TbPr2N3 with its computed XRD peak list. Radiation: CuKα. Structure: a GGA-PBE-relaxed structure.
Peak positions follow from Bragg's law for the DFT cell and can differ from measured ones.

Principal peaks in the range 2θ = 10–90°, by angle:
- d = 7.710 Å, I 1
- d = 2.967 Å, I 100
- d = 2.569 Å, I 74
- d = 1.817 Å, I 51
- d = 1.549 Å, I 45
- d = 1.483 Å, I 17
- d = 1.285 Å, I 8
- d = 1.179 Å, I 19
- d = 1.149 Å, I 22

Structure:
```
data_TbPr2N3
_symmetry_space_group_name_H-M 'I 4/m m m'
_symmetry_Int_Tables_number 139
_symmetry_space_group_name_Hall '-I 4 2'
_cell_length_a 3.6332
_cell_length_b 3.6332
_cell_length_c 15.4201
_cell_angle_alpha 90.00
_cell_angle_beta 90.00
_cell_angle_gamma 90.00
loop_
_atom_site_label
_atom_site_fract_x
_atom_site_fract_y
_atom_site_fract_z
Tb1 0.0000 0.0000 0.0000
Pr1 0.0000 0.0000 0.3367
N1 0.0000 0.0000 0.1601
N2 0.0000 0.0000 0.5000
```


No. 4
This entry pairs a crystal structure of TbPr3N4 with its computed XRD peak list. Radiation: CuKα. Structure: a GGA-PBE-relaxed structure.
Peak positions follow from Bragg's law for the DFT cell and can differ from measured ones.

Principal peaks in the range 2θ = 10–90°, by angle:
- d = 2.978 Å, I 100
- d = 2.579 Å, I 75
- d = 1.824 Å, I 52
- d = 1.555 Å, I 46
- d = 1.489 Å, I 17
- d = 1.289 Å, I 8
- d = 1.183 Å, I 19
- d = 1.153 Å, I 23

Structure:
```
data_TbPr3N4
_symmetry_space_group_name_H-M 'P m -3 m'
_symmetry_Int_Tables_number 221
_symmetry_space_group_name_Hall '-P 4 2 3'
_cell_length_a 5.1579
_cell_length_b 5.1579
_cell_length_c 5.1579
_cell_angle_alpha 90.00
_cell_angle_beta 90.00
_cell_angle_gamma 90.00
loop_
_atom_site_label
_atom_site_fract_x
_atom_site_fract_y
_atom_site_fract_z
Tb1 0.0000 0.0000 0.0000
Pr1 0.0000 0.5000 0.5000
N1 0.0000 0.0000 0.5000
N2 0.5000 0.5000 0.5000
```


No. 5
This entry pairs a crystal structure of TbPrYN3 with its computed XRD peak list. Radiation: CuKα. Structure: a GGA-PBE-relaxed structure.
Peak positions follow from Bragg's law for the DFT cell and can differ from measured ones.

Principal peaks in the range 2θ = 10–90°, by angle:
- d = 3.043 Å, I 23
- d = 3.019 Å, I 32
- d = 2.996 Å, I 41
- d = 2.981 Å, I 21
- d = 2.796 Å, I 100
- d = 2.672 Å, I 20
- d = 2.650 Å, I 97
- d = 2.280 Å, I 18
- d = 1.769 Å, I 21
- d = 1.723 Å, I 31
- d = 1.527 Å, I 20
- d = 1.522 Å, I 27

Structure:
```
data_TbPrYN3
_symmetry_space_group_name_H-M 'P 1 21/m 1'
_symmetry_Int_Tables_number 11
_cell_length_a 6.0900
_cell_length_b 3.5386
_cell_length_c 9.1781
_cell_angle_alpha 90.00
_cell_angle_beta 101.72
_cell_angle_gamma 90.00
loop_
_symmetry_equiv_pos_as_xyz
'x,y,z'
'-x,-y,-z'
'-x,y+1/2,-z'
'x,-y+1/2,z'
loop_
_atom_site_label
_atom_site_fract_x
_atom_site_fract_y
_atom_site_fract_z
Tb1 0.1509 0.2500 0.1405
Pr1 0.3423 0.2500 0.8002
Y1 0.2310 0.7500 0.4561
N1 0.0348 0.7500 0.6531
N2 0.2459 0.7500 0.0078
N3 0.4599 0.2500 0.3343
```


No. 6
This entry pairs a crystal structure of Pr3Tc2N6 with its computed XRD peak list. Radiation: CuKα. Structure: a GGA-PBE-relaxed structure.
Peak positions follow from Bragg's law for the DFT cell and can differ from measured ones.

Principal peaks in the range 2θ = 10–90°, by angle:
- d = 2.793 Å, I 100
- d = 2.300 Å, I 5
- d = 2.131 Å, I 6
- d = 1.982 Å, I 5
- d = 1.971 Å, I 18
- d = 1.615 Å, I 8
- d = 1.611 Å, I 25
- d = 1.398 Å, I 6
- d = 1.394 Å, I 6
- d = 1.247 Å, I 11
- d = 1.140 Å, I 3
- d = 1.118 Å, I 3

Structure:
```
data_Pr3Tc2N6
_symmetry_space_group_name_H-M 'I 4/m m m'
_symmetry_Int_Tables_number 139
_symmetry_space_group_name_Hall '-I 4 2'
_cell_length_a 3.9426
_cell_length_b 3.9426
_cell_length_c 19.8221
_cell_angle_alpha 90.00
_cell_angle_beta 90.00
_cell_angle_gamma 90.00
loop_
_atom_site_label
_atom_site_fract_x
_atom_site_fract_y
_atom_site_fract_z
Pr1 0.0000 0.0000 0.0000
Pr2 0.0000 0.0000 0.1833
Tc1 0.0000 0.0000 0.4061
N1 0.0000 0.0000 0.3027
N2 0.0000 0.5000 0.0868
```


No. 7
This entry pairs a crystal structure of PrTc2N3 with its computed XRD peak list. Radiation: CuKα. Structure: a GGA-PBE-relaxed structure.
Peak positions follow from Bragg's law for the DFT cell and can differ from measured ones.

Principal peaks in the range 2θ = 10–90°, by angle:
- d = 2.966 Å, I 74
- d = 2.829 Å, I 100
- d = 2.527 Å, I 93
- d = 2.261 Å, I 34
- d = 2.017 Å, I 30
- d = 1.985 Å, I 28
- d = 1.766 Å, I 34
- d = 1.701 Å, I 17
- d = 1.649 Å, I 26
- d = 1.491 Å, I 18
- d = 1.458 Å, I 28
- d = 1.415 Å, I 18

Structure:
```
data_PrTc2N3
_symmetry_space_group_name_H-M 'C m m m'
_symmetry_Int_Tables_number 65
_symmetry_space_group_name_Hall '-C 2 2'
_cell_length_a 3.9693
_cell_length_b 12.0994
_cell_length_c 3.4029
_cell_angle_alpha 90.00
_cell_angle_beta 90.00
_cell_angle_gamma 90.00
loop_
_atom_site_label
_atom_site_fract_x
_atom_site_fract_y
_atom_site_fract_z
Pr1 0.0000 0.0000 0.0000
Tc1 0.0000 0.3324 0.5000
N1 0.0000 0.1622 0.5000
N2 0.0000 0.5000 0.5000
```


No. 8
This entry pairs a crystal structure of Pr3Te2N2 with its computed XRD peak list. Radiation: CuKα. Structure: a GGA-PBE-relaxed structure.
Peak positions follow from Bragg's law for the DFT cell and can differ from measured ones.

Principal peaks in the range 2θ = 10–90°, by angle:
- d = 3.460 Å, I 61
- d = 3.355 Å, I 80
- d = 3.115 Å, I 100
- d = 2.867 Å, I 45
- d = 2.844 Å, I 18
- d = 2.732 Å, I 56
- d = 2.649 Å, I 60
- d = 2.482 Å, I 58
- d = 2.342 Å, I 19
- d = 1.801 Å, I 23
- d = 1.772 Å, I 22
- d = 1.744 Å, I 36

Structure:
```
data_Pr3Te2N2
_symmetry_space_group_name_H-M 'P 1 21/c 1'
_symmetry_Int_Tables_number 14
_cell_length_a 6.8300
_cell_length_b 7.6000
_cell_length_c 7.8855
_cell_angle_alpha 90.00
_cell_angle_beta 114.97
_cell_angle_gamma 90.00
loop_
_symmetry_equiv_pos_as_xyz
'x,y,z'
'-x,-y,-z'
'-x,y+1/2,-z+1/2'
'x,-y+1/2,z+1/2'
loop_
_atom_site_label
_atom_site_fract_x
_atom_site_fract_y
_atom_site_fract_z
Pr1 0.0000 0.0000 0.0000
Pr2 0.4028 0.1330 0.7884
Te1 0.1801 0.6315 0.9189
N1 0.3489 0.1096 0.0719
```